Starting from a PBE+U-relaxed structure, the powder diffraction line list of FeSO11 was calculated for Cu Kα (λ = 1.5418 Å).

Top 8 peaks for 5° ≤ 2θ ≤ 70°, in order of rising 2θ:
- 13.8°, rel. 10.4, (2 0 0)
- 18.4°, rel. 100.0, (1 1 1)
- 20.4°, rel. 6.6, (1 0 2)
- 22.8°, rel. 9.4, (2 1 1)
- 24.0°, rel. 42.9, (3 1 -1)
- 25.2°, rel. 12.5, (2 0 2)
- 26.9°, rel. 11.7, (0 2 0)
- 28.1°, rel. 7.9, (1 1 -3)

Cell and atoms:
```
data_FeSO11
_cell_length_a 13.483
_cell_length_b 6.625
_cell_length_c 10.880
_cell_angle_alpha 90.00
_cell_angle_beta 108.00
_cell_angle_gamma 90.00
_symmetry_space_group_name_H-M 'P 1 21/c 1'
_symmetry_Int_Tables_number 14
_symmetry_space_group_name_Hall '-P 2ybc'
loop_
_atom_site_label
_atom_site_type_symbol
_atom_site_fract_x
_atom_site_fract_y
_atom_site_fract_z
Fe1 Fe 0.000 0.000 0.000
Fe2 Fe 0.500 0.000 0.500
S1 S 0.228 0.030 0.676
O1 O 0.019 0.738 0.431
O2 O 0.075 0.528 0.668
O3 O 0.091 0.110 0.928
O4 O 0.136 0.531 0.213
O5 O 0.205 0.026 0.533
O6 O 0.260 0.232 0.731
O7 O 0.314 0.619 0.222
O8 O 0.382 0.025 0.125
O9 O 0.384 0.654 0.950
O10 O 0.453 0.240 0.983
O11 O 0.492 0.056 0.660
```